Diffraction record for Ni5Ge3. The X-ray diffraction stick pattern is theoretical, not measured: it uses the GGA-PBE geometry in the Materials Project and Cu Kα (weighted mean of Kα1 and Kα2).
No peak broadening, texture or thermal motion is included.

Crystal structure
```
data_Ni5Ge3
_chemical_formula_sum 'Ni20 Ge12'
_symmetry_space_group_name_H-M 'C 1 2/c 1'
_symmetry_Int_Tables_number 15
_cell_length_a 10.8199
_cell_length_b 6.7214
_cell_length_c 6.3493
_cell_angle_alpha 90.00
_cell_angle_beta 120.98
_cell_angle_gamma 90.00
loop_
_symmetry_equiv_pos_as_xyz
'x,y,z'
'-x,-y,-z'
'-x,y,-z+1/2'
'x,-y,z+1/2'
'x+1/2,y+1/2,z'
'-x+1/2,-y+1/2,-z'
'-x+1/2,y+1/2,-z+1/2'
'x+1/2,-y+1/2,z+1/2'
loop_
_atom_site_label
_atom_site_type_symbol
_atom_site_fract_x
_atom_site_fract_y
_atom_site_fract_z
_atom_site_occupancy
Ni1 Ni 0.0727 0.2439 0.1452 1
Ni2 Ni 0.1745 0.4122 0.5840 1
Ni3 Ni 0.2500 0.2500 0.0000 1
Ge1 Ge 0.0000 0.3957 0.7500 1
Ge2 Ge 0.1487 0.0660 0.5467 1
```

Principal peaks in the range 2θ = 10–90°, by angle:
hkl  2theta  Rel. int.
0 0 2  32.91  13
5 1 -1  44.81  49
4 2 -2  45.02  100
2 0 2  46.58  43
1 3 1  46.76  91
6 2 0  66.58  12
4 4 -2  66.95  25
5 5 -1  85.52  13